# 1
Structure and simulated powder diffraction line list of PaGa2Cl8 (a crystal structure in Alexandria, relaxed with PBE; CuKα).

Structure:
Cell: 6.432 7.682 7.686 Å, 74.05 83.39 83.20°
Fractional coordinates of all 11 atoms:
Pa1 0.000 0.000 0.000
Ga1 0.229 0.476 0.473
Ga2 0.771 0.524 0.527
Cl1 0.153 0.178 0.178
Cl2 0.257 0.125 0.721
Cl3 0.258 0.721 0.125
Cl4 0.414 0.633 0.630
Cl5 0.586 0.367 0.370
Cl6 0.742 0.279 0.875
Cl7 0.743 0.875 0.279
Cl8 0.847 0.822 0.822

Top 12 peaks for 2θ = 10–90°, low angle first:
13.92°, intensity 27; 14.60°, intensity 88; 17.60°, intensity 41; 18.67°, intensity 29; 19.21°, intensity 100; 24.19°, intensity 20; 29.09°, intensity 29; 30.73°, intensity 32; 31.61°, intensity 29; 33.58°, intensity 21; 39.74°, intensity 21; 44.60°, intensity 22

---

# 2
Structure and simulated powder diffraction line list of Cu3AgSe2 (a crystal structure in Alexandria, relaxed with PBE; CuKα).

Structure:
Cell: 7.667 7.667 8.234 Å, 120.52 120.52 31.20°
Fractional coordinates of all 12 atoms:
Cu1 0.088 0.088 0.273
Cu2 0.313 0.313 0.525
Cu3 0.396 0.396 0.904
Cu4 0.604 0.604 0.096
Cu5 0.687 0.687 0.475
Cu6 0.912 0.912 0.727
Ag1 0.119 0.119 0.633
Ag2 0.881 0.881 0.367
Se1 0.221 0.221 0.186
Se2 0.487 0.487 0.255
Se3 0.513 0.513 0.745
Se4 0.779 0.779 0.814

Top 12 peaks for 2θ = 10–90°, low angle first:
12.65°, intensity 23; 13.07°, intensity 16; 31.71°, intensity 22; 35.36°, intensity 29; 37.16°, intensity 18; 37.95°, intensity 100; 39.46°, intensity 40; 43.91°, intensity 53; 44.02°, intensity 25; 47.20°, intensity 21; 48.61°, intensity 28; 50.11°, intensity 16

---

# 3
Structure and simulated powder diffraction line list of MnZn2Hg (a crystal structure in Alexandria, relaxed with PBE; CuKα).

Structure:
Cell: 4.203 2.872 11.008 Å, 90.00 90.00 90.00°
Fractional coordinates of all 8 atoms:
Mn1 0.000 0.000 0.000
Mn2 0.000 0.500 0.500
Zn1 0.000 0.000 0.722
Zn2 0.000 0.500 0.222
Zn3 0.500 0.000 0.590
Zn4 0.500 0.500 0.090
Hg1 0.500 0.000 0.344
Hg2 0.500 0.500 0.844

Top 12 peaks for 2θ = 10–90°, low angle first:
16.10°, intensity 29; 21.14°, intensity 27; 26.69°, intensity 34; 32.21°, intensity 19; 38.85°, intensity 100; 39.13°, intensity 84; 39.86°, intensity 49; 43.04°, intensity 35; 45.54°, intensity 16; 52.36°, intensity 17; 60.10°, intensity 29; 78.49°, intensity 21

---

# 4
Structure and simulated powder diffraction line list of TlIn6Hg23 (a crystal structure in Alexandria, relaxed with PBE; CuKα).

Structure:
Cell: 8.577 10.316 11.018 Å, 109.86 112.23 90.74°
Fractional coordinates of all 30 atoms:
Tl1 0.000 0.000 0.000
In1 0.247 0.248 0.496
In2 0.262 0.260 0.999
In3 0.262 0.740 0.001
In4 0.738 0.260 0.999
In5 0.738 0.740 0.001
In6 0.753 0.752 0.504
Hg1 0.000 0.000 0.500
Hg2 0.000 0.500 0.000
Hg3 0.000 0.500 0.500
Hg4 0.105 0.370 0.735
Hg5 0.123 0.373 0.247
Hg6 0.128 0.871 0.258
Hg7 0.136 0.866 0.736
Hg8 0.367 0.635 0.270
Hg9 0.368 0.624 0.734
Hg10 0.372 0.121 0.744
Hg11 0.395 0.130 0.262
Hg12 0.500 0.000 0.000
Hg13 0.500 0.000 0.500
Hg14 0.500 0.500 0.000
Hg15 0.500 0.500 0.500
Hg16 0.605 0.870 0.738
Hg17 0.628 0.879 0.256
Hg18 0.632 0.376 0.266
Hg19 0.633 0.365 0.730
Hg20 0.864 0.134 0.264
Hg21 0.872 0.129 0.742
Hg22 0.877 0.627 0.753
Hg23 0.895 0.630 0.265

Top 12 peaks for 2θ = 10–90°, low angle first:
31.65°, intensity 99; 31.78°, intensity 100; 34.40°, intensity 80; 34.89°, intensity 76; 35.16°, intensity 77; 38.02°, intensity 59; 42.15°, intensity 45; 48.60°, intensity 30; 55.60°, intensity 20; 56.43°, intensity 19; 56.68°, intensity 19; 57.81°, intensity 18

---

# 5
Structure and simulated powder diffraction line list of Ce2MgCo9 (a crystal structure in Alexandria, relaxed with PBE; CuKα).

Structure:
Cell: 8.519 8.519 8.519 Å, 33.56 33.56 33.56°
Fractional coordinates of all 12 atoms:
Ce1 0.000 0.000 0.000
Ce2 0.143 0.143 0.143
Mg1 0.279 0.279 0.279
Co1 0.060 0.554 0.554
Co2 0.220 0.725 0.725
Co3 0.473 0.473 0.473
Co4 0.554 0.060 0.554
Co5 0.554 0.554 0.060
Co6 0.638 0.638 0.638
Co7 0.725 0.220 0.725
Co8 0.725 0.725 0.220
Co9 0.804 0.804 0.804

Top 12 peaks for 2θ = 10–90°, low angle first:
22.13°, intensity 14; 27.96°, intensity 10; 33.47°, intensity 27; 36.54°, intensity 57; 42.61°, intensity 30; 43.13°, intensity 100; 45.16°, intensity 22; 46.62°, intensity 23; 50.38°, intensity 10; 65.77°, intensity 16; 70.32°, intensity 27; 77.65°, intensity 17

---

# 6
Structure and simulated powder diffraction line list of Ca3Pb5Br16 (a crystal structure in Alexandria, relaxed with PBE; CuKα).

Structure:
Cell: 8.831 8.831 13.774 Å, 90.31 90.31 59.54°
Fractional coordinates of all 24 atoms:
Ca1 0.000 0.000 0.000
Ca2 0.168 0.665 0.497
Ca3 0.665 0.168 0.497
Pb1 0.163 0.163 0.267
Pb2 0.497 0.497 0.762
Pb3 0.498 0.999 0.998
Pb4 0.666 0.666 0.498
Pb5 0.999 0.498 0.998
Br1 0.002 0.513 0.380
Br2 0.155 0.679 0.883
Br3 0.157 0.157 0.880
Br4 0.313 0.855 0.125
Br5 0.321 0.321 0.132
Br6 0.333 0.808 0.624
Br7 0.346 0.346 0.618
Br8 0.493 0.493 0.383
Br9 0.513 0.002 0.380
Br10 0.672 0.672 0.870
Br11 0.679 0.155 0.883
Br12 0.808 0.333 0.624
Br13 0.839 0.839 0.609
Br14 0.840 0.840 0.116
Br15 0.855 0.313 0.125
Br16 0.992 0.992 0.386

Top 12 peaks for 2θ = 10–90°, low angle first:
13.25°, intensity 78; 13.31°, intensity 49; 17.29°, intensity 33; 24.03°, intensity 45; 26.55°, intensity 28; 26.71°, intensity 48; 26.80°, intensity 56; 30.50°, intensity 100; 40.39°, intensity 45; 40.88°, intensity 76; 41.17°, intensity 39; 69.40°, intensity 29

---

# 7
Structure and simulated powder diffraction line list of K2Tb2SnS6 (a crystal structure in Alexandria, relaxed with PBE; CuKα).

Structure:
Cell: 6.841 6.841 7.931 Å, 98.38 98.38 119.68°
Fractional coordinates of all 11 atoms:
K1 0.169 0.831 0.000
K2 0.831 0.169 0.000
Tb1 0.332 0.668 0.500
Tb2 0.668 0.332 0.500
Sn1 0.000 0.000 0.500
S1 0.066 0.385 0.696
S2 0.246 0.246 0.307
S3 0.385 0.066 0.696
S4 0.615 0.934 0.304
S5 0.754 0.754 0.693
S6 0.934 0.615 0.304

Top 12 peaks for 2θ = 10–90°, low angle first:
11.66°, intensity 100; 23.44°, intensity 15; 26.35°, intensity 19; 27.22°, intensity 16; 30.36°, intensity 29; 30.50°, intensity 58; 38.19°, intensity 16; 41.24°, intensity 31; 45.80°, intensity 19; 47.43°, intensity 12; 51.59°, intensity 12; 56.15°, intensity 9

---

# 8
Structure and simulated powder diffraction line list of TlPb2ClO2 (a crystal structure in Alexandria, relaxed with PBE; CuKα).

Structure:
Cell: 6.251 6.192 9.194 Å, 90.00 106.41 90.00°
Fractional coordinates of all 12 atoms:
Tl1 0.207 0.250 0.466
Tl2 0.793 0.750 0.534
Pb1 0.126 0.250 0.852
Pb2 0.382 0.750 0.759
Pb3 0.618 0.250 0.241
Pb4 0.874 0.750 0.148
Cl1 0.370 0.750 0.075
Cl2 0.630 0.250 0.925
O1 0.120 0.502 0.681
O2 0.120 0.998 0.681
O3 0.880 0.002 0.319
O4 0.880 0.498 0.319

Top 12 peaks for 2θ = 10–90°, low angle first:
15.34°, intensity 36; 20.12°, intensity 18; 20.62°, intensity 20; 24.78°, intensity 96; 25.81°, intensity 65; 28.84°, intensity 55; 30.97°, intensity 19; 33.21°, intensity 100; 40.86°, intensity 19; 42.40°, intensity 18; 42.83°, intensity 20; 53.94°, intensity 26